Diffraction record for Li3MgPCO7. The powder XRD pattern is computed, not measured: it uses a cell relaxed with PBE and Cu Kα X-rays.
Kinematic intensities with the Lorentz-polarization factor, no thermal factor.

Most intense lines, 15 to 90 degrees two-theta, by angle:
2theta	I/Imax
17.51	638
21.39	285
24.53	227
25.53	527
27.25	199
27.77	1000
35.00	338
35.45	227

Cell and atoms:
a = 5.0675 Å, b = 6.4249 Å, c = 8.3151 Å
α = 90.00°, β = 92.16°, γ = 90.00°
Space group P2_1 (No. 4)
Asymmetric unit:
Li 0.0174 0.0000 0.9996 x2
Li 0.4468 0.9452 0.5021 x2
Li 0.4562 0.6853 0.8279 x2
Mg 0.0233 0.2508 0.7195 x2
P 0.0365 0.2494 0.3328 x2
C 0.4972 0.7426 0.1395 x2
O 0.0096 0.9456 0.7703 x2
O 0.0895 0.5643 0.7658 x2
O 0.1091 0.7767 0.5072 x2
O 0.2512 0.7713 0.0948 x2
O 0.3245 0.2326 0.9690 x2
O 0.3363 0.2097 0.3672 x2
O 0.4347 0.2288 0.7085 x2